Calculated powder diffractogram
Compound: Zr3W
Radiation: Cu Kα (weighted mean of Kα1 and Kα2)
Structure: a structure optimized by DFT (PBE)

Atomic structure:
Cell lengths 6.059, 4.724, 6.074 Å; angles 90.00, 106.71, 90.00 degrees
Positions (direct):
Zr  0.111  0.250  0.137
Zr  0.157  0.250  0.657
Zr  0.364  0.750  0.392
Zr  0.636  0.250  0.608
Zr  0.843  0.750  0.343
Zr  0.889  0.750  0.863
W  0.406  0.750  0.906
W  0.594  0.250  0.094

Main lines, sorted by position (10° ≤ 2θ ≤ 90°):
| index | two_theta | d (Å) | intensity |
| --- | --- | --- | --- |
| 1 0 0 | 15.3 | 5.810 | 16 |
| 1 0 -2 | 30.2 | 2.961 | 7 |
| 2 1 0 | 36.3 | 2.474 | 100 |
| 2 0 -2 | 36.9 | 2.434 | 25 |
| 0 2 0 | 38.1 | 2.362 | 24 |
| 1 1 2 | 43.1 | 2.099 | 10 |
| 2 0 2 | 50.4 | 1.810 | 7 |
| 2 2 -2 | 54.1 | 1.695 | 17 |
| 2 2 2 | 64.9 | 1.437 | 7 |
| 2 1 -4 | 66.1 | 1.414 | 8 |
| 4 1 -2 | 66.2 | 1.412 | 8 |
| 2 3 0 | 67.7 | 1.384 | 16 |